Entry 1:
Theoretical powder diffraction line list
Compound: Tb4Sm2Se9
Radiation: a wavelength of 1.5418 Å
Structure: a GGA-PBE-relaxed structure

Largest 12 diffraction maxima, sorted by position, 2θ from 15° to 90°:
2θ/deg  I (rel.)
16.70  42
22.97  58
24.42  40
28.03  61
33.77  39
36.94  100
42.12  36
42.99  64
48.63  29
57.94  26
61.17  14
74.79  20

```
data_Tb4Sm2Se9
_chemical_formula_sum 'Tb8 Sm4 Se18'
_space_group_name_H-M_alt 'P -1'
_space_group_IT_number 2
_cell_length_a 7.2860
_cell_length_b 7.2882
_cell_length_c 19.6148
_cell_angle_alpha 89.99
_cell_angle_beta 89.97
_cell_angle_gamma 60.05
loop_
_space_group_symop_operation_xyz
'x,y,z'
'-x,-y,-z'
loop_
_atom_site_label
_atom_site_type_symbol
_atom_site_fract_x
_atom_site_fract_y
_atom_site_fract_z
_atom_site_occupancy
Tb1 Tb 0.1656 0.1669 0.1822 1
Tb2 Tb 0.1660 0.1667 0.9859 1
Tb3 Tb 0.1671 0.1665 0.4855 1
Tb4 Tb 0.1677 0.1663 0.6825 1
Sm1 Sm 0.4989 0.5016 0.1501 1
Sm2 Sm 0.4998 0.4987 0.3503 1
Se1 Se 0.1301 0.5290 0.4165 1
Se2 Se 0.1325 0.8401 0.9163 1
Se3 Se 0.1587 0.4727 0.0837 1
Se4 Se 0.1593 0.8696 0.5836 1
Se5 Se 0.1939 0.5003 0.7499 1
Se6 Se 0.1935 0.8069 0.2503 1
Se7 Se 0.4712 0.1611 0.5833 1
Se8 Se 0.4716 0.8692 0.0832 1
Se9 Se 0.4989 0.1937 0.2499 1
```

Entry 2:
Theoretical powder diffraction line list
Compound: HoGa3Pd
Radiation: a wavelength of 1.5418 Å
Structure: a GGA-PBE-relaxed structure

Largest 12 diffraction maxima, sorted by position, 2θ from 15° to 90°:
2θ/deg  I (rel.)
27.22  17
30.30  11
33.65  16
34.52  100
34.66  49
40.00  63
42.83  38
43.34  16
60.64  15
62.57  10
73.12  18
73.38  11

```
data_HoGa3Pd
_chemical_formula_sum 'Ho4 Ga12 Pd4'
_space_group_name_H-M_alt 'P n m a'
_space_group_IT_number 62
_cell_length_a 8.2451
_cell_length_b 4.2231
_cell_length_c 10.7897
_cell_angle_alpha 90.00
_cell_angle_beta 90.00
_cell_angle_gamma 90.00
loop_
_space_group_symop_operation_xyz
'x,y,z'
'-x,-y,-z'
'-x+1/2,-y,z+1/2'
'x+1/2,y,-z+1/2'
'x+1/2,-y+1/2,-z+1/2'
'-x+1/2,y+1/2,z+1/2'
'-x,y+1/2,-z'
'x,-y+1/2,z'
loop_
_atom_site_label
_atom_site_type_symbol
_atom_site_fract_x
_atom_site_fract_y
_atom_site_fract_z
_atom_site_occupancy
Ho1 Ho 0.1960 0.2500 0.0133 1
Ga1 Ga 0.0744 0.2500 0.5961 1
Ga2 Ga 0.1058 0.7500 0.8182 1
Ga3 Ga 0.1294 0.7500 0.2074 1
Pd1 Pd 0.0945 0.2500 0.3558 1
```